Starting from DFT lattice parameters and positions (GGA+U), the X-ray diffraction stick pattern of Cs2MnOF5 was calculated for CuKα.
Kinematic intensities with the Lorentz-polarization factor, no thermal factor.

Peak list (10 most intense, 2θ from 15° to 90°, sorted by position)
2θ = 17.80°, I 34, hkl 0 2 0; 2θ = 19.40°, I 30, hkl 2 0 0; 2θ = 26.45°, I 98, hkl 2 2 0; 2θ = 27.89°, I 92, hkl 0 2 1; 2θ = 28.96°, I 81, hkl 2 0 1; 2θ = 34.20°, I 100, hkl 2 2 1; 2θ = 36.05°, I 39, hkl 0 4 0; 2θ = 39.39°, I 33, hkl 4 0 0; 2θ = 46.89°, I 33, hkl 2 4 1; 2θ = 48.95°, I 33, hkl 4 2 1

Crystal structure
abc: 9.1511 9.9649 4.1715
angles: 90.00 90.00 90.00
Space group Cmm2 (No. 35)
Asymmetric unit:
1 Cs 0.2500 0.2500 0.0000 x4
2 Mn 0.0000 0.0000 0.4996 x2
3 O 0.0000 0.5000 0.8070 x2
4 F 0.0000 0.0000 0.9996 x2
5 F 0.0000 0.1884 0.4999 x4
6 F 0.2040 0.0000 0.4998 x4